This entry pairs a crystal structure of MgTe2Mo2W2Se4S2 with its calculated X-ray powder pattern. Radiation: λ = 1.5418 Å (Cu Kα). Structure: a DFT-relaxed cell (PBE, the Materials Project).
Neutral-atom scattering factors, no anomalous dispersion.

The 10 most intense peaks (2θ = 10–90°), low angle first:
h k l  2theta  I_rel
0 0 6  11.83  59
1 0 0  30.95  60
1 0 5  32.54  32
0 1 8  34.92  84
1 0 11  38.15  32
1 0 13  40.71  100
0 1 14  42.09  30
1 1 0  55.03  46
1 1 5  56.05  22
0 2 13  70.65  19

Cell and atoms:
```
MgTe2Mo2W2Se4S2
1.0
3.338 0.000 0.000
-1.669 2.891 0.000
0.000 0.000 44.876
Mg Te Mo W Se S
1 2 2 2 4 2
Direct
0.000 0.000 0.000
0.333 0.667 0.427
0.333 0.667 0.512
0.333 0.667 0.899
0.667 0.333 0.100
0.333 0.667 0.282
0.667 0.333 0.470
0.333 0.667 0.063
0.333 0.667 0.137
0.667 0.333 0.862
0.667 0.333 0.937
0.667 0.333 0.248
0.667 0.333 0.315
```